(1)
Starting from a cell relaxed with GGA-PBE, the powder diffractogram of K2BaMo was calculated for Cu Kα (λ = 1.5418 Å).
Lines closer than 0.1° are merged.

Most intense lines, 2θ = 15–90°, by angle:
d = 4.560 Å, I 345
d = 4.165 Å, I 193
d = 3.070 Å, I 1000
d = 3.040 Å, I 307
d = 2.858 Å, I 262
d = 2.652 Å, I 591
d = 2.082 Å, I 201
d = 1.869 Å, I 248

Structural model:
a b c (Å): 3.970 5.716 18.241
angles (deg): 90.00 90.00 90.00
Fractional coordinates of all 8 atoms:
K  0.000  0.000  0.172
K  0.000  0.000  0.828
K  0.500  0.500  0.328
K  0.500  0.500  0.672
Ba  0.000  0.500  0.000
Ba  0.500  0.000  0.500
Mo  0.000  0.500  0.500
Mo  0.500  0.000  0.000

(2)
Starting from a cell relaxed with GGA-PBE, the powder diffractogram of DyUO5 was calculated for Cu Kα (λ = 1.5418 Å).
Lines closer than 0.1° are merged.

Most intense lines, 2θ = 15–90°, by angle:
d = 4.228 Å, I 879
d = 3.496 Å, I 1000
d = 3.386 Å, I 545
d = 2.694 Å, I 705
d = 2.643 Å, I 404
d = 1.975 Å, I 261
d = 1.809 Å, I 308
d = 1.790 Å, I 290

Structural model:
a b c (Å): 4.081 6.772 8.455
angles (deg): 90.00 90.00 90.00
Fractional coordinates of all 14 atoms:
Dy  0.000  0.000  0.000
Dy  0.500  0.500  0.500
U  0.000  0.000  0.500
U  0.500  0.500  0.000
O  0.000  0.000  0.281
O  0.000  0.000  0.719
O  0.000  0.329  0.000
O  0.000  0.500  0.500
O  0.000  0.671  0.000
O  0.500  0.000  0.000
O  0.500  0.171  0.500
O  0.500  0.500  0.219
O  0.500  0.500  0.781
O  0.500  0.829  0.500

(3)
Starting from a cell relaxed with GGA-PBE, the powder diffractogram of RbCdGa2Te4 was calculated for Cu Kα (λ = 1.5418 Å).
Lines closer than 0.1° are merged.

Most intense lines, 2θ = 15–90°, by angle:
d = 3.655 Å, I 1000
d = 3.476 Å, I 863
d = 3.253 Å, I 491
d = 2.876 Å, I 572
d = 2.758 Å, I 772
d = 2.231 Å, I 624
d = 2.040 Å, I 465
d = 1.852 Å, I 286

Structural model:
a b c (Å): 7.120 8.728 9.759
angles (deg): 90.00 90.00 90.00
Fractional coordinates of all 16 atoms:
Rb  0.000  0.000  0.000
Rb  0.500  0.500  0.500
Cd  0.000  0.000  0.500
Cd  0.500  0.500  0.000
Ga  0.000  0.500  0.132
Ga  0.000  0.500  0.868
Ga  0.500  0.000  0.368
Ga  0.500  0.000  0.632
Te  0.228  0.180  0.311
Te  0.228  0.820  0.689
Te  0.272  0.320  0.811
Te  0.272  0.680  0.189
Te  0.728  0.320  0.189
Te  0.728  0.680  0.811
Te  0.772  0.180  0.689
Te  0.772  0.820  0.311

(4)
Starting from a cell relaxed with GGA-PBE, the powder diffractogram of Ce2Cd3Ga was calculated for Cu Kα (λ = 1.5418 Å).
Lines closer than 0.1° are merged.

Most intense lines, 2θ = 15–90°, by angle:
d = 2.640 Å, I 495
d = 2.635 Å, I 1000
d = 2.504 Å, I 923
d = 2.492 Å, I 447
d = 1.818 Å, I 168
d = 1.812 Å, I 313
d = 1.441 Å, I 163
d = 1.385 Å, I 237

Structural model:
a b c (Å): 10.015 9.302 5.990
angles (deg): 78.56 65.55 35.89
Fractional coordinates of all 12 atoms:
Ce  0.215  0.785  0.785
Ce  0.250  0.250  0.250
Ce  0.750  0.750  0.750
Ce  0.785  0.215  0.215
Cd  0.170  0.170  0.830
Cd  0.178  0.655  0.345
Cd  0.345  0.822  0.178
Cd  0.655  0.178  0.822
Cd  0.822  0.345  0.655
Cd  0.830  0.830  0.170
Ga  0.334  0.334  0.666
Ga  0.666  0.666  0.334

(5)
Starting from a cell relaxed with GGA-PBE, the powder diffractogram of AcCdIn2Pd2 was calculated for Cu Kα (λ = 1.5418 Å).
Lines closer than 0.1° are merged.

Most intense lines, 2θ = 15–90°, by angle:
d = 3.763 Å, I 403
d = 3.140 Å, I 637
d = 2.847 Å, I 574
d = 2.661 Å, I 1000
d = 1.944 Å, I 757
d = 1.882 Å, I 358
d = 1.570 Å, I 377
d = 1.098 Å, I 243

Structural model:
a b c (Å): 5.322 5.322 11.389
angles (deg): 90.00 90.00 90.00
Fractional coordinates of all 12 atoms:
Ac  0.000  0.000  0.000
Ac  0.500  0.500  0.500
Cd  0.000  0.000  0.500
Cd  0.500  0.500  0.000
In  0.000  0.500  0.250
In  0.000  0.500  0.750
In  0.500  0.000  0.250
In  0.500  0.000  0.750
Pd  0.000  0.000  0.266
Pd  0.000  0.000  0.734
Pd  0.500  0.500  0.234
Pd  0.500  0.500  0.766

(6)
Starting from a cell relaxed with GGA-PBE, the powder diffractogram of Tb3InPb3 was calculated for Cu Kα (λ = 1.5418 Å).
Lines closer than 0.1° are merged.

Most intense lines, 2θ = 15–90°, by angle:
d = 2.933 Å, I 242
d = 2.913 Å, I 322
d = 2.620 Å, I 1000
d = 2.067 Å, I 182
d = 1.693 Å, I 151
d = 1.619 Å, I 237
d = 1.464 Å, I 188
d = 1.422 Å, I 135

Structural model:
a b c (Å): 8.960 8.960 5.826
angles (deg): 90.00 90.00 120.00
Fractional coordinates of all 14 atoms:
Tb  0.092  0.642  0.250
Tb  0.358  0.450  0.250
Tb  0.450  0.092  0.750
Tb  0.550  0.908  0.250
Tb  0.642  0.550  0.750
Tb  0.908  0.358  0.750
In  0.333  0.667  0.750
In  0.667  0.333  0.250
Pb  0.059  0.796  0.750
Pb  0.204  0.263  0.750
Pb  0.263  0.059  0.250
Pb  0.737  0.941  0.750
Pb  0.796  0.737  0.250
Pb  0.941  0.204  0.250